Simulated PXRD pattern
Compound: Ni2PdF6
Radiation: Cu Kα X-rays
Structure: a structure optimized by DFT (PBE+U)

Structure:
```
data_Ni2PdF6
_symmetry_space_group_name_H-M 'P 42/m n m'
_symmetry_Int_Tables_number 136
_symmetry_space_group_name_Hall '-P 4n 2n'
_cell_length_a 4.831
_cell_length_b 4.831
_cell_length_c 9.662
_cell_angle_alpha 90.00
_cell_angle_beta 90.00
_cell_angle_gamma 90.00
loop_
_atom_site_label
_atom_site_fract_x
_atom_site_fract_y
_atom_site_fract_z
Ni1 0.000 0.000 0.167
Pd1 0.000 0.000 0.500
F1 0.182 0.182 0.000
F2 0.202 0.202 0.322
```

Peak list (10 most intense, 15 to 90 degrees two-theta, in order of rising 2θ)
| 2theta | Rel. int. | index |
| --- | --- | --- |
| 26.1 | 1000 | 1 1 0 |
| 33.4 | 643 | 1 0 3 |
| 37.2 | 145 | 2 0 0 |
| 38.4 | 114 | 1 1 3 |
| 50.9 | 678 | 2 1 3 |
| 53.7 | 189 | 2 2 0 |
| 60.6 | 120 | 3 1 0 |
| 63.9 | 151 | 1 1 6 |
| 64.7 | 234 | 3 0 3 |
| 88.9 | 106 | 4 1 3 |